Entry 1:
Starting from the GGA-PBE geometry in the Materials Project, the PXRD pattern of ZrH3 was simulated for copper Kα.

Structural model:
Unit cell a=3.1260 b=3.1260 c=3.1260 alpha=90.00 beta=90.00 gamma=90.00
Space group Pm-3m (No. 221)
Asymmetric unit:
Zr 0.0000 0.0000 0.0000 [1 per cell]
H 0.0000 0.5000 0.5000 [3 per cell]

Largest 5 diffraction maxima, in order of falling intensity, 2θ from 5° to 70°:
| Position (°2θ) | d [Å] | I (rel.) | hkl |
| --- | --- | --- | --- |
| 28.55 | 3.126 | 100.0 | 1 0 0 |
| 40.82 | 2.210 | 75.0 | 1 1 0 |
| 66.93 | 1.398 | 33.6 | 2 1 0 |
| 50.57 | 1.805 | 28.9 | 1 1 1 |
| 59.11 | 1.563 | 13.2 | 2 0 0 |

Entry 2:
Starting from the GGA-PBE geometry in the Materials Project, the PXRD pattern of CaLa2ZrO6 was simulated for copper Kα.

Structural model:
Unit cell a=8.4582 b=8.4582 c=8.4582 alpha=90.00 beta=90.00 gamma=90.00
Space group Fm-3m (No. 225)
Asymmetric unit:
Ca 0.0000 0.0000 0.0000 [4 per cell]
La 0.2500 0.2500 0.2500 [8 per cell]
Zr 0.0000 0.0000 0.5000 [4 per cell]
O 0.0000 0.0000 0.2564 [24 per cell]

Largest 10 diffraction maxima, in order of falling intensity, 2θ from 5° to 70°:
| Position (°2θ) | d [Å] | I (rel.) | hkl |
| --- | --- | --- | --- |
| 29.88 | 2.990 | 100.0 | 2 2 0 |
| 53.04 | 1.727 | 40.1 | 4 2 2 |
| 42.76 | 2.115 | 33.3 | 4 0 0 |
| 62.07 | 1.495 | 20.3 | 4 4 0 |
| 36.81 | 2.442 | 15.2 | 2 2 2 |
| 21.01 | 4.229 | 8.2 | 2 0 0 |
| 18.17 | 4.883 | 4.8 | 1 1 1 |
| 48.11 | 1.891 | 4.7 | 4 2 0 |
| 66.31 | 1.410 | 2.5 | 4 4 2 |
| 35.19 | 2.550 | 2.3 | 3 1 1 |

Entry 3:
Starting from the GGA-PBE geometry in the Materials Project, the PXRD pattern of K2SmCl5 was simulated for copper Kα.

Structural model:
Unit cell a=13.1251 b=8.6782 c=8.1393 alpha=90.00 beta=90.00 gamma=90.00
Space group Pnma (No. 62)
Asymmetric unit:
K 0.1744 0.9998 0.0334 [8 per cell]
Sm 0.0034 0.2500 0.5755 [4 per cell]
Cl 0.0115 0.2500 0.9146 [4 per cell]
Cl 0.0822 0.5403 0.6539 [8 per cell]
Cl 0.1667 0.2500 0.3627 [4 per cell]
Cl 0.1982 0.7500 0.3284 [4 per cell]

Largest 10 diffraction maxima, in order of falling intensity, 2θ from 5° to 70°:
| Position (°2θ) | d [Å] | I (rel.) | hkl |
| --- | --- | --- | --- |
| 12.80 | 6.917 | 100.0 | 1 0 1 |
| 13.49 | 6.563 | 51.8 | 2 0 0 |
| 24.21 | 3.676 | 50.8 | 1 2 1 |
| 33.12 | 2.705 | 47.0 | 2 2 2 |
| 37.33 | 2.409 | 39.8 | 2 1 3 |
| 23.08 | 3.854 | 38.8 | 3 0 1 |
| 24.60 | 3.619 | 37.4 | 2 2 0 |
| 34.26 | 2.617 | 36.3 | 4 2 0 |
| 41.72 | 2.165 | 36.2 | 5 2 1 |
| 14.92 | 5.937 | 30.5 | 0 1 1 |

Entry 4:
Starting from the GGA-PBE geometry in the Materials Project, the PXRD pattern of Mn2In2CuPd3 was simulated for copper Kα.

Structural model:
Unit cell a=4.4946 b=4.4946 c=22.1774 alpha=90.00 beta=90.00 gamma=120.00
Space group R3m (No. 160, hexagonal axes)
Asymmetric unit:
Mn 0.0000 0.0000 0.0000 [3 per cell]
Mn 0.0000 0.0000 0.4986 [3 per cell]
In 0.0000 0.0000 0.2501 [3 per cell]
In 0.0000 0.0000 0.7483 [3 per cell]
Cu 0.0000 0.0000 0.3744 [3 per cell]
Pd 0.0000 0.0000 0.1242 [3 per cell]
Pd 0.0000 0.0000 0.6244 [3 per cell]
Pd 0.0000 0.0000 0.8742 [3 per cell]

Largest 10 diffraction maxima, in order of falling intensity, 2θ from 5° to 70°:
| Position (°2θ) | d [Å] | I (rel.) | hkl |
| --- | --- | --- | --- |
| 39.93 | 2.258 | 100.0 | 0 1 8 |
| 40.12 | 2.247 | 98.7 | 1 1 0 |
| 57.89 | 1.593 | 32.3 | 2 0 8 |
| 24.23 | 3.673 | 10.9 | 0 1 2 |
| 47.37 | 1.919 | 5.6 | 2 0 2 |
| 24.08 | 3.696 | 3.6 | 0 0 6 |
| 47.17 | 1.927 | 1.9 | 1 0 10 |
| 63.82 | 1.458 | 1.6 | 1 2 2 |
| 11.97 | 7.392 | 1.5 | 0 0 3 |
| 23.20 | 3.834 | 1.1 | 1 0 1 |

Entry 5:
Starting from the GGA-PBE geometry in the Materials Project, the PXRD pattern of SmSb was simulated for copper Kα.

Structural model:
Unit cell a=6.3257 b=6.3257 c=6.3257 alpha=90.00 beta=90.00 gamma=90.00
Space group Fm-3m (No. 225)
Asymmetric unit:
Sm 0.0000 0.0000 0.0000 [4 per cell]
Sb 0.0000 0.0000 0.5000 [4 per cell]

Largest 7 diffraction maxima, in order of falling intensity, 2θ from 5° to 70°:
| Position (°2θ) | d [Å] | I (rel.) | hkl |
| --- | --- | --- | --- |
| 28.22 | 3.163 | 100.0 | 2 0 0 |
| 40.33 | 2.236 | 76.5 | 2 2 0 |
| 66.05 | 1.414 | 35.2 | 4 2 0 |
| 49.94 | 1.826 | 27.4 | 2 2 2 |
| 58.35 | 1.581 | 12.8 | 4 0 0 |
| 24.37 | 3.652 | 2.1 | 1 1 1 |
| 47.68 | 1.907 | 1.1 | 3 1 1 |

Entry 6:
Starting from the GGA-PBE geometry in the Materials Project, the PXRD pattern of TlCrS2 was simulated for copper Kα.

Structural model:
Unit cell a=3.6153 b=3.6153 c=22.2236 alpha=90.00 beta=90.00 gamma=120.00
Space group R3m (No. 160, hexagonal axes)
Asymmetric unit:
Tl 0.0000 0.0000 0.0000 [3 per cell]
Cr 0.0000 0.0000 0.1664 [3 per cell]
S 0.0000 0.0000 0.5561 [3 per cell]
S 0.0000 0.0000 0.7759 [3 per cell]

Largest 10 diffraction maxima, in order of falling intensity, 2θ from 5° to 70°:
| Position (°2θ) | d [Å] | I (rel.) | hkl |
| --- | --- | --- | --- |
| 35.06 | 2.560 | 100.0 | 0 1 5 |
| 28.80 | 3.100 | 87.8 | 1 0 1 |
| 32.83 | 2.728 | 65.0 | 1 0 4 |
| 29.64 | 3.014 | 62.8 | 0 1 2 |
| 11.95 | 7.408 | 60.6 | 0 0 3 |
| 24.03 | 3.704 | 53.8 | 0 0 6 |
| 50.49 | 1.808 | 46.1 | 1 1 0 |
| 40.46 | 2.229 | 45.4 | 1 0 7 |
| 56.66 | 1.625 | 31.8 | 1 1 6 |
| 43.55 | 2.078 | 22.2 | 0 1 8 |